For PmMg3Al, a cell relaxed with GGA-PBE gives the theoretical powder diffraction line list in this record (Cu Kα (weighted mean of Kα1 and Kα2)).

Structure:
a b c (Å): 14.2697 14.2697 3.6600
angles (deg): 90.00 90.00 160.18
Positions (direct):
Pm  0.1623  0.8377  0.0000
Pm  0.8377  0.1623  0.0000
Mg  0.0599  0.9401  0.5000
Mg  0.2747  0.7253  0.5000
Mg  0.4484  0.5516  0.0000
Mg  0.5516  0.4484  0.0000
Mg  0.7253  0.2747  0.5000
Mg  0.9401  0.0599  0.5000
Al  0.3724  0.6276  0.5000
Al  0.6276  0.3724  0.5000

The 10 most intense peaks (2θ from 10° to 90°), in order of rising 2θ:
2theta  I_rel
12.59  39.4
18.94  24.1
20.42  50.4
31.00  35.4
31.83  14.9
31.96  100.0
34.01  34.5
36.59  26.3
37.97  26.9
48.70  20.0

=====

For NpUSe2N, a cell relaxed with GGA-PBE gives the theoretical powder diffraction line list in this record (Cu Kα (weighted mean of Kα1 and Kα2)).

Structure:
a b c (Å): 3.9149 3.9149 15.7993
angles (deg): 90.00 90.00 90.00
Positions (direct):
Np  0.2500  0.2500  0.2446
Np  0.7500  0.7500  0.7554
U  0.2500  0.2500  0.4267
U  0.7500  0.7500  0.5733
Se  0.2500  0.2500  0.0872
Se  0.2500  0.2500  0.6896
Se  0.7500  0.7500  0.3104
Se  0.7500  0.7500  0.9128
N  0.2500  0.7500  0.5000
N  0.7500  0.2500  0.5000

The 10 most intense peaks (2θ from 10° to 90°), in order of rising 2θ:
2theta  I_rel
23.41  100.0
32.19  35.9
32.34  92.2
34.05  22.4
36.54  75.3
46.41  62.1
47.66  39.8
52.59  23.9
60.45  36.0
67.72  28.6

=====

For Ce2HoIn3, a cell relaxed with GGA-PBE gives the theoretical powder diffraction line list in this record (Cu Kα (weighted mean of Kα1 and Kα2)).

Structure:
a b c (Å): 3.4179 3.4179 13.8490
angles (deg): 90.00 90.00 90.00
Positions (direct):
Ce  0.0000  0.0000  0.1704
Ce  0.0000  0.0000  0.8296
Ho  0.0000  0.0000  0.5000
In  0.5000  0.5000  0.0000
In  0.5000  0.5000  0.3399
In  0.5000  0.5000  0.6601

The 10 most intense peaks (2θ from 10° to 90°), in order of rising 2θ:
2theta  I_rel
32.60  100.0
37.20  35.1
39.02  15.0
53.63  12.1
55.01  21.8
64.18  27.7
66.66  11.7
68.29  11.3
79.28  3.8
88.37  5.9

=====

For GaSn3Au3, a cell relaxed with GGA-PBE gives the theoretical powder diffraction line list in this record (Cu Kα (weighted mean of Kα1 and Kα2)).

Structure:
a b c (Å): 7.4990 7.4990 7.4990
angles (deg): 65.49 65.49 65.49
Positions (direct):
Ga  0.1539  0.1539  0.1539
Ga  0.8461  0.8461  0.8461
Sn  0.1599  0.6564  0.3841
Sn  0.3436  0.6159  0.8401
Sn  0.3841  0.1599  0.6564
Sn  0.6159  0.8401  0.3436
Sn  0.6564  0.3841  0.1599
Sn  0.8401  0.3436  0.6159
Au  0.0096  0.4490  0.8226
Au  0.1774  0.9904  0.5510
Au  0.4490  0.8226  0.0096
Au  0.5510  0.1774  0.9904
Au  0.8226  0.0096  0.4490
Au  0.9904  0.5510  0.1774

The 10 most intense peaks (2θ from 10° to 90°), in order of rising 2θ:
2theta  I_rel
21.91  67.0
26.73  29.9
30.53  71.7
34.15  100.0
35.31  67.5
37.90  94.7
38.44  36.8
39.66  45.2
42.68  36.3
47.81  30.0

=====

For La2AlCdNi, a cell relaxed with GGA-PBE gives the theoretical powder diffraction line list in this record (Cu Kα (weighted mean of Kα1 and Kα2)).

Structure:
a b c (Å): 5.4631 5.4631 4.5942
angles (deg): 90.00 90.00 90.00
Positions (direct):
La  0.0000  0.5000  0.0000
La  0.5000  0.0000  0.0000
Al  0.0000  0.0000  0.5000
Cd  0.5000  0.5000  0.5000
Ni  0.0000  0.0000  0.0000

The 10 most intense peaks (2θ from 10° to 90°), in order of rising 2θ:
2theta  I_rel
19.32  23.7
25.33  30.2
30.23  100.0
32.79  76.2
38.34  16.6
39.22  23.2
47.05  27.3
52.02  40.3
56.95  32.9
62.86  22.4